Entry 1:
Theoretical X-ray diffraction stick pattern
Compound: Ce2Ti2SiO9
Radiation: Cu Kα (weighted mean of Kα1 and Kα2)
Structure: a structure optimized by DFT (PBE)

Largest 8 diffraction maxima, most intense first, 2θ = 5–70°:
29.07°, intensity 100.0, hkl 3 1 -2
31.71°, intensity 28.6, hkl 6 0 -1
22.95°, intensity 23.9, hkl 3 1 -1
28.23°, intensity 20.5, hkl 1 1 -2
45.01°, intensity 20.0, hkl 6 2 -1
31.11°, intensity 19.6, hkl 0 2 0
40.32°, intensity 19.2, hkl 0 2 2
54.11°, intensity 15.9, hkl 3 3 -2

Crystal structure
a = 16.9351 Å, b = 5.7486 Å, c = 7.6533 Å
α = 90.00°, β = 111.44°, γ = 90.00°
Space group C2/m (No. 12)
One atom of each set of equivalent atoms:
Ce: 0.1031 0.0000 0.1971
Ce: 0.2130 0.0000 0.8161
Ti: 0.0000 0.2403 0.5000
Ti: 0.0819 0.5000 0.9501
Si: 0.1651 0.5000 0.4857
O: 0.0000 0.2720 0.0000
O: 0.0202 0.0000 0.6852
O: 0.0273 0.5000 0.6904
O: 0.1211 0.2549 0.5219
O: 0.1564 0.5000 0.2665
O: 0.1638 0.2569 0.9852
O: 0.2393 0.0000 0.3627



Entry 2:
Theoretical X-ray diffraction stick pattern
Compound: PmSn2F11
Radiation: Cu Kα (weighted mean of Kα1 and Kα2)
Structure: a structure optimized by DFT (PBE)

Largest 8 diffraction maxima, most intense first, 2θ = 5–70°:
21.84°, intensity 100.0, hkl 1 1 2
24.21°, intensity 64.5, hkl 0 2 2
25.90°, intensity 52.8, hkl 2 1 1
44.57°, intensity 47.4, hkl 1 3 4
22.68°, intensity 34.1, hkl 1 2 1
47.47°, intensity 32.0, hkl 3 3 2
29.16°, intensity 28.9, hkl 1 3 0
50.05°, intensity 19.5, hkl 1 5 2

Crystal structure
a = 7.7841 Å, b = 9.9861 Å, c = 10.8696 Å
α = 90.00°, β = 90.00°, γ = 90.00°
Space group Ibam (No. 72)
One atom of each set of equivalent atoms:
Pm: 0.0000 0.0000 0.2500
Sn: 0.1378 0.3189 0.0000
F: 0.0000 0.5000 0.0000
F: 0.0997 0.1857 0.1379
F: 0.1293 0.2846 0.5000
F: 0.2373 0.0742 0.3691



Entry 3:
Theoretical X-ray diffraction stick pattern
Compound: Ni3Sn5Sb
Radiation: Cu Kα (weighted mean of Kα1 and Kα2)
Structure: a structure optimized by DFT (PBE)

Largest 8 diffraction maxima, most intense first, 2θ = 5–70°:
31.57°, intensity 100.0, hkl 2 0 3
33.56°, intensity 89.3, hkl 1 1 3
33.42°, intensity 87.7, hkl 1 1 -3
31.28°, intensity 73.0, hkl 2 0 -3
49.35°, intensity 72.9, hkl 3 1 0
30.52°, intensity 54.9, hkl 0 1 3
43.58°, intensity 42.6, hkl 1 1 -6
43.80°, intensity 40.0, hkl 1 1 6

Crystal structure
a = 6.5816 Å, b = 3.4209 Å, c = 17.0127 Å
α = 90.00°, β = 90.60°, γ = 90.00°
Space group P2/m (No. 10)
One atom of each set of equivalent atoms:
Ni: 0.0000 0.0000 0.0000
Ni: 0.0047 0.0000 0.6699
Ni: 0.4942 0.5000 0.8312
Ni: 0.5000 0.5000 0.5000
Sn: 0.1514 0.5000 0.4290
Sn: 0.1541 0.5000 0.0987
Sn: 0.3462 0.0000 0.5958
Sn: 0.3501 0.0000 0.9316
Sn: 0.3523 0.0000 0.2652
Sb: 0.1423 0.5000 0.7674



Entry 4:
Theoretical X-ray diffraction stick pattern
Compound: FeSi2P
Radiation: Cu Kα (weighted mean of Kα1 and Kα2)
Structure: a structure optimized by DFT (PBE)

Largest 8 diffraction maxima, most intense first, 2θ = 5–70°:
40.31°, intensity 100.0, hkl 0 2 2
55.67°, intensity 67.9, hkl 2 2 2
36.72°, intensity 61.3, hkl 2 0 0
41.89°, intensity 41.3, hkl 0 0 4
56.91°, intensity 31.7, hkl 2 0 4
27.00°, intensity 20.3, hkl 1 1 1
20.59°, intensity 13.2, hkl 0 0 2
42.47°, intensity 3.9, hkl 2 0 2

Crystal structure
a = 4.8945 Å, b = 5.2325 Å, c = 8.6264 Å
α = 90.00°, β = 90.00°, γ = 90.00°
Space group Fmmm (No. 69)
One atom of each set of equivalent atoms:
Fe: 0.0000 0.0000 0.0000
Si: 0.0000 0.2500 0.2500
P: 0.0000 0.0000 0.5000